# 1
This entry pairs a crystal structure of DyThGa2Pt2 with its theoretical powder X-ray diffraction pattern. Radiation: CuKα. Structure: the GGA-PBE geometry in Alexandria.

The 10 most intense peaks (2θ from 10° to 90°), most intense first:
Position (°2θ)	Rel. int.
34.1	100
40.1	64
53.7	28
67.0	27
69.1	26
26.1	23
73.0	11
51.2	10
85.3	8
86.7	7

Crystal structure
```
DyThGa2Pt2
1.0
4.492 0.000 0.000
-2.246 3.890 0.000
0.000 0.000 7.141
Dy Th Ga Pt
1 1 2 2
direct
0.000 0.000 0.000
0.000 0.000 0.500
0.333 0.667 0.771
0.667 0.333 0.229
0.333 0.667 0.240
0.667 0.333 0.760
```

# 2
This entry pairs a crystal structure of Mg3Ga2Cu9Si with its theoretical powder X-ray diffraction pattern. Radiation: CuKα. Structure: the GGA-PBE geometry in Alexandria.

The 10 most intense peaks (2θ from 10° to 90°), most intense first:
Position (°2θ)	Rel. int.
40.7	100
20.0	77
34.7	56
45.2	43
58.0	28
11.9	23
57.8	23
23.9	19
51.2	15
43.4	15

Crystal structure
```
Mg3Ga2Cu9Si
1.0
6.363 0.000 0.000
-3.181 5.510 0.000
0.000 0.000 7.455
Mg Ga Cu Si
3 2 9 1
direct
0.000 0.000 0.000
0.333 0.667 0.647
0.667 0.333 0.353
0.333 0.667 0.215
0.667 0.333 0.785
0.000 0.500 0.000
0.134 0.267 0.275
0.134 0.866 0.275
0.267 0.134 0.725
0.500 0.000 0.000
0.500 0.500 0.000
0.733 0.866 0.275
0.866 0.134 0.725
0.866 0.733 0.725
0.000 0.000 0.500
```

# 3
This entry pairs a crystal structure of SrP2IrO8 with its theoretical powder X-ray diffraction pattern. Radiation: CuKα. Structure: the GGA-PBE geometry in Alexandria.

The 10 most intense peaks (2θ from 10° to 90°), most intense first:
Position (°2θ)	Rel. int.
25.7	100
35.9	35
21.9	34
43.1	25
11.5	24
37.4	22
20.8	21
58.5	18
60.6	15
52.8	12

Crystal structure
```
SrP2IrO8
1.0
2.503 1.445 7.713
-2.503 1.445 7.713
0.000 -2.891 7.713
Sr P Ir O
1 2 1 8
direct
0.000 0.000 0.000
0.244 0.244 0.244
0.756 0.756 0.756
0.500 0.500 0.500
0.106 0.542 0.681
0.310 0.310 0.310
0.319 0.458 0.894
0.458 0.894 0.319
0.542 0.681 0.106
0.681 0.106 0.542
0.690 0.690 0.690
0.894 0.319 0.458
```

# 4
This entry pairs a crystal structure of Sr2InSn5 with its theoretical powder X-ray diffraction pattern. Radiation: CuKα. Structure: the GGA-PBE geometry in Alexandria.

The 10 most intense peaks (2θ from 10° to 90°), most intense first:
Position (°2θ)	Rel. int.
32.7	100
31.1	74
33.1	48
42.5	37
26.3	32
64.8	29
39.1	26
65.0	20
58.9	19
42.8	18

Crystal structure
```
Sr2InSn5
1.0
-3.173 5.414 3.386
3.173 -5.414 3.386
3.173 5.414 -3.386
Sr In Sn
2 1 5
direct
0.000 0.000 0.000
0.497 0.497 0.000
0.750 0.250 0.500
0.248 0.748 0.500
0.500 0.498 0.501
0.500 0.999 0.002
0.997 0.498 0.998
0.997 0.999 0.499
```

# 5
This entry pairs a crystal structure of Sc4HgAu3 with its theoretical powder X-ray diffraction pattern. Radiation: CuKα. Structure: the GGA-PBE geometry in Alexandria.

The 10 most intense peaks (2θ from 10° to 90°), most intense first:
Position (°2θ)	Rel. int.
37.0	100
26.0	39
66.8	28
37.1	20
25.9	20
45.8	18
66.6	14
53.5	14
60.3	12
78.8	9

Crystal structure
```
Sc4HgAu3
1.0
3.445 0.000 0.000
0.000 4.849 0.000
0.000 0.000 9.686
Sc Hg Au
4 1 3
direct
0.000 0.000 0.000
0.000 0.000 0.500
0.000 0.500 0.242
0.000 0.500 0.758
0.500 0.500 0.500
0.500 0.000 0.253
0.500 0.000 0.747
0.500 0.500 0.000
```

# 6
This entry pairs a crystal structure of Ce3PaRu2 with its theoretical powder X-ray diffraction pattern. Radiation: CuKα. Structure: the GGA-PBE geometry in Alexandria.

The 10 most intense peaks (2θ from 10° to 90°), most intense first:
Position (°2θ)	Rel. int.
34.2	100
38.4	91
28.5	59
22.4	50
27.4	45
64.1	41
35.8	36
55.2	36
27.6	34
39.3	32

Crystal structure
```
Ce3PaRu2
1.0
-3.233 6.803 3.705
3.233 -6.803 3.705
3.233 6.803 -3.705
Ce Pa Ru
6 2 4
direct
0.024 0.750 0.274
0.250 0.250 0.000
0.476 0.750 0.726
0.524 0.250 0.274
0.750 0.750 0.000
0.976 0.250 0.726
0.000 0.500 0.500
0.500 0.000 0.500
0.122 0.232 0.354
0.378 0.732 0.109
0.622 0.268 0.891
0.878 0.768 0.646
```

# 7
This entry pairs a crystal structure of Np4PS3 with its theoretical powder X-ray diffraction pattern. Radiation: CuKα. Structure: the GGA-PBE geometry in Alexandria.

The 10 most intense peaks (2θ from 10° to 90°), most intense first:
Position (°2θ)	Rel. int.
27.9	100
32.3	93
46.3	69
54.9	46
76.9	21
57.6	18
85.9	14
74.6	14
67.6	11
77.0	11

Crystal structure
```
Np4PS3
1.0
6.783 0.000 0.000
0.000 7.841 0.000
-2.262 0.000 6.410
Np P S
8 2 6
direct
0.250 0.125 0.000
0.250 0.375 0.500
0.250 0.625 0.000
0.250 0.875 0.500
0.750 0.125 0.500
0.750 0.375 0.000
0.750 0.625 0.500
0.750 0.875 0.000
0.000 0.126 0.250
0.000 0.874 0.750
0.000 0.375 0.750
0.000 0.625 0.250
0.500 0.125 0.750
0.500 0.375 0.250
0.500 0.625 0.750
0.500 0.875 0.250
```

# 8
This entry pairs a crystal structure of Ac2PuGa4Pd3 with its theoretical powder X-ray diffraction pattern. Radiation: CuKα. Structure: the GGA-PBE geometry in Alexandria.

The 10 most intense peaks (2θ from 10° to 90°), most intense first:
Position (°2θ)	Rel. int.
32.5	100
40.6	49
30.9	46
68.7	23
51.8	22
56.3	20
52.1	17
44.5	17
58.7	17
29.4	15

Crystal structure
```
Ac2PuGa4Pd3
1.0
4.449 0.000 0.000
0.000 4.449 0.000
0.000 0.000 11.461
Ac Pu Ga Pd
2 1 4 3
direct
0.000 0.500 0.232
0.500 0.000 0.768
0.000 0.000 0.500
0.000 0.000 0.000
0.000 0.500 0.666
0.500 0.000 0.334
0.500 0.500 0.000
0.000 0.500 0.885
0.500 0.000 0.115
0.500 0.500 0.500
```

# 9
This entry pairs a crystal structure of RbPa3Si4N12 with its theoretical powder X-ray diffraction pattern. Radiation: CuKα. Structure: the GGA-PBE geometry in Alexandria.

The 10 most intense peaks (2θ from 10° to 90°), most intense first:
Position (°2θ)	Rel. int.
27.2	100
20.8	85
15.7	47
39.1	35
34.7	35
31.8	32
26.2	31
45.1	24
53.1	19
53.3	19

Crystal structure
```
RbPa3Si4N12
1.0
5.630 3.250 2.944
-5.630 3.250 2.944
0.000 -6.501 2.944
Rb Pa Si N
1 3 4 12
direct
0.000 0.000 0.000
0.000 0.550 0.450
0.450 0.000 0.550
0.550 0.450 0.000
0.047 0.500 0.953
0.500 0.500 0.500
0.500 0.953 0.047
0.953 0.047 0.500
0.023 0.612 0.773
0.102 0.898 0.500
0.227 0.388 0.977
0.350 0.650 0.500
0.388 0.977 0.227
0.500 0.102 0.898
0.500 0.350 0.650
0.612 0.773 0.023
0.650 0.500 0.350
0.773 0.023 0.612
0.898 0.500 0.102
0.977 0.227 0.388
```

# 10
This entry pairs a crystal structure of GeSb2Au3 with its theoretical powder X-ray diffraction pattern. Radiation: CuKα. Structure: the GGA-PBE geometry in Alexandria.

The 10 most intense peaks (2θ from 10° to 90°), most intense first:
Position (°2θ)	Rel. int.
40.9	100
23.6	96
34.3	86
41.9	68
23.1	55
28.5	34
28.3	34
48.8	28
48.6	20
48.2	20

Crystal structure
```
GeSb2Au3
1.0
6.470 -3.855 0.000
6.470 3.855 0.000
-0.039 0.000 5.696
Ge Sb Au
2 4 6
direct
0.141 0.859 0.750
0.859 0.141 0.250
0.156 0.496 0.253
0.496 0.156 0.753
0.504 0.844 0.247
0.844 0.504 0.747
0.154 0.158 0.001
0.158 0.154 0.501
0.468 0.532 0.750
0.532 0.468 0.250
0.842 0.846 0.499
0.846 0.842 0.999
```

# 11
This entry pairs a crystal structure of ErPS4I with its theoretical powder X-ray diffraction pattern. Radiation: CuKα. Structure: the GGA-PBE geometry in Alexandria.

The 10 most intense peaks (2θ from 10° to 90°), most intense first:
Position (°2θ)	Rel. int.
10.2	100
23.3	88
16.4	75
13.3	64
25.4	46
29.5	36
34.5	33
37.2	33
46.6	28
31.7	26

Crystal structure
```
ErPS4I
1.0
6.934 -3.806 0.000
6.934 3.806 0.000
-0.696 0.000 8.699
Er P S I
2 2 8 2
direct
0.160 0.160 0.488
0.840 0.840 0.512
0.364 0.364 0.785
0.636 0.636 0.215
0.078 0.489 0.668
0.349 0.349 0.009
0.489 0.078 0.668
0.496 0.496 0.245
0.504 0.504 0.755
0.511 0.922 0.332
0.651 0.651 0.991
0.922 0.511 0.332
0.022 0.022 0.731
0.978 0.978 0.269
```

# 12
This entry pairs a crystal structure of V2CuIr2 with its theoretical powder X-ray diffraction pattern. Radiation: CuKα. Structure: the GGA-PBE geometry in Alexandria.

The 10 most intense peaks (2θ from 10° to 90°), most intense first:
Position (°2θ)	Rel. int.
42.9	100
39.1	55
27.4	53
17.2	28
32.3	25
78.8	23
51.6	23
50.1	16
56.4	15
81.0	13

Crystal structure
```
V2CuIr2
1.0
7.280 0.000 0.000
0.000 7.280 0.000
0.000 0.000 2.770
V Cu Ir
4 2 4
direct
0.161 0.339 0.000
0.339 0.839 0.000
0.661 0.161 0.000
0.839 0.661 0.000
0.000 0.000 0.500
0.500 0.500 0.500
0.137 0.637 0.500
0.363 0.137 0.500
0.637 0.863 0.500
0.863 0.363 0.500
```

# 13
This entry pairs a crystal structure of Cs2Dy3Se6 with its theoretical powder X-ray diffraction pattern. Radiation: CuKα. Structure: the GGA-PBE geometry in Alexandria.

The 10 most intense peaks (2θ from 10° to 90°), most intense first:
Position (°2θ)	Rel. int.
28.3	100
10.2	45
43.5	35
37.3	33
52.7	18
34.7	17
43.0	10
46.0	10
70.6	10
81.3	10

Crystal structure
```
Cs2Dy3Se6
1.0
3.605 -6.245 0.000
3.605 6.245 0.000
-2.405 0.000 8.634
Cs Dy Se
2 3 6
direct
0.167 0.833 0.000
0.833 0.167 0.000
0.000 0.000 0.500
0.333 0.667 0.500
0.667 0.333 0.500
0.062 0.395 0.684
0.273 0.273 0.316
0.395 0.062 0.684
0.605 0.938 0.316
0.727 0.727 0.684
0.938 0.605 0.316
```